1.
Structure and simulated XRD peak list of Li4MnNi5P6O24 (a PBE+U-relaxed structure; Cu Kα, 1.54184 Å).

a = 8.336 Å, b = 8.403 Å, c = 8.405 Å
α = 63.19°, β = 63.51°, γ = 63.43°
Positions (direct):
Li  0.000  0.000  0.000
Li  0.106  0.919  0.495
Li  0.215  0.417  0.371
Li  0.585  0.628  0.790
Mn  0.002  0.419  0.792
Ni  0.211  0.624  0.996
Ni  0.364  0.772  0.140
Ni  0.500  0.918  0.284
Ni  0.712  0.129  0.497
Ni  0.844  0.272  0.640
P  0.109  0.222  0.195
P  0.302  0.025  0.690
P  0.410  0.524  0.592
P  0.610  0.320  0.096
P  0.804  0.824  0.898
P  0.910  0.726  0.398
O  0.042  0.261  0.030
O  0.099  0.185  0.716
O  0.109  0.694  0.245
O  0.181  0.374  0.164
O  0.243  0.455  0.635
O  0.253  0.021  0.211
O  0.281  0.875  0.891
O  0.310  0.965  0.539
O  0.378  0.595  0.746
O  0.403  0.684  0.402
O  0.460  0.522  0.069
O  0.464  0.091  0.639
O  0.546  0.165  0.123
O  0.602  0.370  0.573
O  0.606  0.839  0.043
O  0.684  0.283  0.246
O  0.744  0.767  0.342
O  0.766  0.342  0.890
O  0.806  0.011  0.732
O  0.844  0.658  0.832
O  0.895  0.874  0.465
O  0.924  0.522  0.556
O  0.957  0.789  0.973
O  0.958  0.201  0.392

Largest 10 diffraction maxima, in order of rising 2θ, 5 to 70 degrees two-theta:
20.2°, intensity 100; 24.1°, intensity 32; 24.2°, intensity 32; 24.3°, intensity 32; 31.3°, intensity 15; 33.6°, intensity 31; 33.7°, intensity 29; 33.9°, intensity 27; 35.3°, intensity 61; 55.2°, intensity 31

=====

2.
Structure and simulated XRD peak list of Li2MnNiP2O8 (a PBE+U-relaxed structure; Cu Kα, 1.54184 Å).

a = 4.765 Å, b = 6.052 Å, c = 10.372 Å
α = 90.00°, β = 90.08°, γ = 90.00°
Positions (direct):
Li  0.000  0.000  0.000
Li  0.000  0.500  0.000
Li  0.500  0.000  0.500
Li  0.500  0.500  0.500
Mn  0.019  0.250  0.276
Mn  0.981  0.750  0.724
Ni  0.482  0.250  0.780
Ni  0.518  0.750  0.220
P  0.090  0.750  0.402
P  0.420  0.750  0.912
P  0.580  0.250  0.088
P  0.910  0.250  0.598
O  0.205  0.750  0.542
O  0.230  0.547  0.333
O  0.230  0.953  0.333
O  0.233  0.250  0.605
O  0.258  0.250  0.091
O  0.287  0.545  0.841
O  0.287  0.955  0.841
O  0.294  0.750  0.051
O  0.706  0.250  0.949
O  0.713  0.045  0.159
O  0.713  0.455  0.159
O  0.742  0.750  0.909
O  0.767  0.750  0.395
O  0.770  0.047  0.667
O  0.770  0.453  0.667
O  0.795  0.250  0.458

Largest 10 diffraction maxima, in order of rising 2θ, 5 to 70 degrees two-theta:
17.1°, intensity 33; 20.5°, intensity 52; 25.3°, intensity 85; 29.5°, intensity 61; 32.0°, intensity 22; 35.3°, intensity 100; 36.2°, intensity 27; 41.7°, intensity 20; 51.9°, intensity 36; 56.2°, intensity 24

=====

3.
Structure and simulated XRD peak list of Li6MnNi3P6O24 (a PBE+U-relaxed structure; Cu Kα, 1.54184 Å).

a = 8.470 Å, b = 8.539 Å, c = 8.541 Å
α = 61.77°, β = 61.87°, γ = 61.91°
Positions (direct):
Li  0.000  0.000  0.000
Li  0.100  0.874  0.496
Li  0.212  0.370  0.416
Li  0.373  0.736  0.138
Li  0.624  0.581  0.785
Li  0.836  0.230  0.635
Mn  0.209  0.577  0.998
Ni  0.492  0.869  0.285
Ni  0.713  0.085  0.499
Ni  0.997  0.370  0.789
P  0.102  0.178  0.189
P  0.309  0.967  0.683
P  0.404  0.472  0.596
P  0.598  0.263  0.101
P  0.806  0.772  0.891
P  0.897  0.685  0.390
O  0.033  0.203  0.039
O  0.087  0.669  0.215
O  0.116  0.124  0.721
O  0.159  0.345  0.149
O  0.250  0.404  0.623
O  0.266  0.988  0.197
O  0.299  0.797  0.876
O  0.311  0.927  0.523
O  0.367  0.523  0.766
O  0.383  0.651  0.419
O  0.427  0.457  0.089
O  0.483  0.003  0.644
O  0.556  0.098  0.119
O  0.599  0.326  0.568
O  0.621  0.776  0.059
O  0.643  0.234  0.265
O  0.719  0.721  0.359
O  0.751  0.298  0.905
O  0.806  0.959  0.729
O  0.826  0.620  0.827
O  0.895  0.840  0.435
O  0.928  0.487  0.542
O  0.956  0.155  0.386
O  0.978  0.726  0.946

Largest 10 diffraction maxima, in order of rising 2θ, 5 to 70 degrees two-theta:
14.5°, intensity 29; 20.3°, intensity 55; 20.8°, intensity 67; 21.0°, intensity 32; 24.1°, intensity 100; 24.2°, intensity 49; 29.2°, intensity 22; 29.3°, intensity 39; 33.1°, intensity 22; 35.5°, intensity 45

=====

4.
Structure and simulated XRD peak list of Li2Mn2NiP3O12 (a PBE+U-relaxed structure; Cu Kα, 1.54184 Å).

a = 8.499 Å, b = 8.499 Å, c = 8.334 Å
α = 115.48°, β = 115.48°, γ = 63.08°
Positions (direct):
Li  0.000  0.000  0.000
Li  0.112  0.490  0.104
Li  0.510  0.888  0.896
Li  0.701  0.299  0.500
Mn  0.004  0.787  0.605
Mn  0.213  0.996  0.395
Mn  0.515  0.292  0.095
Mn  0.708  0.485  0.905
Ni  0.365  0.139  0.255
Ni  0.861  0.635  0.745
P  0.109  0.187  0.809
P  0.299  0.701  0.000
P  0.400  0.600  0.500
P  0.610  0.079  0.679
P  0.813  0.891  0.191
P  0.921  0.390  0.321
O  0.039  0.044  0.797
O  0.101  0.724  0.852
O  0.112  0.224  0.323
O  0.176  0.127  0.642
O  0.246  0.645  0.579
O  0.262  0.212  0.002
O  0.276  0.899  0.148
O  0.329  0.547  0.067
O  0.355  0.754  0.421
O  0.418  0.404  0.353
O  0.453  0.671  0.933
O  0.462  0.060  0.489
O  0.549  0.103  0.839
O  0.596  0.582  0.647
O  0.615  0.041  0.183
O  0.672  0.236  0.711
O  0.764  0.328  0.289
O  0.776  0.888  0.677
O  0.788  0.738  0.998
O  0.873  0.824  0.358
O  0.897  0.451  0.161
O  0.940  0.538  0.511
O  0.956  0.961  0.203
O  0.959  0.385  0.817

Largest 10 diffraction maxima, in order of rising 2θ, 5 to 70 degrees two-theta:
19.8°, intensity 100; 20.0°, intensity 52; 23.6°, intensity 71; 24.1°, intensity 60; 24.2°, intensity 65; 33.0°, intensity 62; 33.6°, intensity 57; 33.9°, intensity 49; 34.5°, intensity 42; 34.8°, intensity 74